The following is a computed PXRD pattern of CuCl. It was derived from a GGA-PBE-relaxed structure, using λ = 1.5418 Å (Cu Kα).

Structural model:
Cell: 6.5237 6.5237 6.5237 Å, 90.00 90.00 90.00°
Fractional positions:
Cu  0.1192  0.1192  0.1192
Cu  0.1192  0.3808  0.6192
Cu  0.3808  0.6192  0.1192
Cu  0.3808  0.8808  0.6192
Cu  0.6192  0.1192  0.3808
Cu  0.6192  0.3808  0.8808
Cu  0.8808  0.6192  0.3808
Cu  0.8808  0.8808  0.8808
Cl  0.1572  0.6572  0.8428
Cl  0.1572  0.8428  0.3428
Cl  0.3428  0.1572  0.8428
Cl  0.3428  0.3428  0.3428
Cl  0.6572  0.6572  0.6572
Cl  0.6572  0.8428  0.1572
Cl  0.8428  0.1572  0.6572
Cl  0.8428  0.3428  0.1572

Most intense lines, 2θ = 10–90°, in order of rising 2θ:
23.62 deg, I = 15; 30.64 deg, I = 10; 33.65 deg, I = 100; 50.44 deg, I = 14; 52.48 deg, I = 52; 56.42 deg, I = 18

=====

The following is a computed PXRD pattern of La2Pr2O7. It was derived from a GGA-PBE-relaxed structure, using λ = 1.5418 Å (Cu Kα).

Structural model:
Cell: 8.1177 8.1177 8.1177 Å, 60.00 60.00 60.00°
Fractional positions:
La  0.0000  0.0000  0.0000
La  0.0000  0.0000  0.5000
La  0.0000  0.5000  0.0000
La  0.5000  0.0000  0.0000
Pr  0.0000  0.5000  0.5000
Pr  0.5000  0.0000  0.5000
Pr  0.5000  0.5000  0.0000
Pr  0.5000  0.5000  0.5000
O  0.1250  0.1250  0.1250
O  0.1447  0.1447  0.6053
O  0.1447  0.6053  0.1447
O  0.1447  0.6053  0.6053
O  0.3947  0.3947  0.8553
O  0.3947  0.8553  0.3947
O  0.3947  0.8553  0.8553
O  0.6053  0.1447  0.1447
O  0.6053  0.1447  0.6053
O  0.6053  0.6053  0.1447
O  0.8553  0.3947  0.3947
O  0.8553  0.3947  0.8553
O  0.8553  0.8553  0.3947
O  0.8750  0.8750  0.8750

Most intense lines, 2θ = 10–90°, in order of rising 2θ:
26.90 deg, I = 100; 31.16 deg, I = 32; 44.65 deg, I = 53; 52.90 deg, I = 46; 71.66 deg, I = 18; 82.29 deg, I = 16